No. 1
Structure and computed powder diffraction line list of PaGe2O8 (a structure optimized by DFT (GGA-PBE); a wavelength of 1.5418 Å).
Peak positions follow from Bragg's law for the DFT cell and can differ from measured ones.

Atomic structure:
Unit cell a=6.557 b=6.557 c=6.557 alpha=60.00 beta=60.00 gamma=60.00
Fractional positions:
Pa1 0.000 0.000 0.000
Ge1 0.250 0.250 0.250
Ge2 0.750 0.750 0.750
O1 0.140 0.140 0.140
O2 0.140 0.140 0.579
O3 0.140 0.579 0.140
O4 0.421 0.860 0.860
O5 0.579 0.140 0.140
O6 0.860 0.421 0.860
O7 0.860 0.860 0.421
O8 0.860 0.860 0.860

Peak list (6 most intense, 2θ from 15° to 90°, by intensity)
| two_theta | intensity |
| --- | --- |
| 16.6 | 100 |
| 27.2 | 98 |
| 48.1 | 40 |
| 42.5 | 34 |
| 32.0 | 28 |
| 76.9 | 22 |


No. 2
Structure and computed powder diffraction line list of SrMn3Se (a structure optimized by DFT (GGA-PBE); a wavelength of 1.5418 Å).
Peak positions follow from Bragg's law for the DFT cell and can differ from measured ones.

Atomic structure:
Unit cell a=4.731 b=4.731 c=4.731 alpha=90.00 beta=90.00 gamma=90.00
Fractional positions:
Sr1 0.000 0.000 0.000
Mn1 0.000 0.500 0.500
Mn2 0.500 0.000 0.500
Mn3 0.500 0.500 0.000
Se1 0.500 0.500 0.500

Peak list (6 most intense, 2θ from 15° to 90°, by intensity)
| two_theta | intensity |
| --- | --- |
| 38.0 | 100 |
| 54.9 | 65 |
| 26.6 | 57 |
| 32.8 | 56 |
| 47.1 | 24 |
| 68.7 | 21 |


No. 3
Structure and computed powder diffraction line list of Cs2Cd6GaAu (a structure optimized by DFT (GGA-PBE); a wavelength of 1.5418 Å).
Peak positions follow from Bragg's law for the DFT cell and can differ from measured ones.

Atomic structure:
Unit cell a=7.510 b=7.510 c=7.923 alpha=117.94 beta=117.94 gamma=60.09
Fractional positions:
Cs1 0.206 0.206 0.118
Cs2 0.794 0.794 0.882
Cd1 0.250 0.250 0.660
Cd2 0.251 0.663 0.663
Cd3 0.337 0.749 0.337
Cd4 0.663 0.251 0.663
Cd5 0.749 0.337 0.337
Cd6 0.750 0.750 0.340
Ga1 0.500 0.500 0.000
Au1 0.000 0.000 0.500

Peak list (6 most intense, 2θ from 15° to 90°, by intensity)
| two_theta | intensity |
| --- | --- |
| 26.2 | 100 |
| 32.9 | 82 |
| 36.8 | 74 |
| 23.7 | 58 |
| 48.5 | 57 |
| 26.1 | 49 |


No. 4
Structure and computed powder diffraction line list of CdPb2I2 (a structure optimized by DFT (GGA-PBE); a wavelength of 1.5418 Å).
Peak positions follow from Bragg's law for the DFT cell and can differ from measured ones.

Atomic structure:
Unit cell a=8.214 b=8.214 c=5.314 alpha=90.00 beta=90.00 gamma=90.00
Fractional positions:
Cd1 0.000 0.000 0.000
Cd2 0.500 0.500 0.000
Pb1 0.157 0.343 0.000
Pb2 0.343 0.843 0.000
Pb3 0.657 0.157 0.000
Pb4 0.843 0.657 0.000
I1 0.181 0.681 0.500
I2 0.319 0.181 0.500
I3 0.681 0.819 0.500
I4 0.819 0.319 0.500

Peak list (6 most intense, 2θ from 15° to 90°, by intensity)
| two_theta | intensity |
| --- | --- |
| 29.6 | 100 |
| 34.5 | 27 |
| 48.8 | 23 |
| 33.7 | 22 |
| 49.0 | 20 |
| 57.8 | 15 |


No. 5
Structure and computed powder diffraction line list of Er2Zn3Si (a structure optimized by DFT (GGA-PBE); a wavelength of 1.5418 Å).
Peak positions follow from Bragg's law for the DFT cell and can differ from measured ones.

Atomic structure:
Unit cell a=3.597 b=4.321 c=7.472 alpha=90.00 beta=90.00 gamma=90.00
Fractional positions:
Er1 0.000 0.000 0.000
Er2 0.000 0.500 0.482
Zn1 0.500 0.000 0.660
Zn2 0.500 0.500 0.154
Zn3 0.500 0.500 0.821
Si1 0.500 0.000 0.328

Peak list (6 most intense, 2θ from 15° to 90°, by intensity)
| two_theta | intensity |
| --- | --- |
| 34.6 | 100 |
| 41.8 | 47 |
| 23.8 | 28 |
| 55.4 | 25 |
| 67.8 | 22 |
| 71.7 | 15 |


No. 6
Structure and computed powder diffraction line list of Tb3Er6Tm (a structure optimized by DFT (GGA-PBE); a wavelength of 1.5418 Å).
Peak positions follow from Bragg's law for the DFT cell and can differ from measured ones.

Atomic structure:
Unit cell a=11.425 b=11.425 c=6.298 alpha=90.00 beta=90.00 gamma=130.96
Fractional positions:
Tb1 0.079 0.921 0.500
Tb2 0.203 0.459 0.102
Tb3 0.459 0.203 0.602
Tb4 0.541 0.797 0.102
Tb5 0.797 0.541 0.602
Tb6 0.921 0.079 0.000
Er1 0.043 0.605 0.263
Er2 0.121 0.245 0.526
Er3 0.199 0.801 0.802
Er4 0.245 0.121 0.026
Er5 0.395 0.957 0.263
Er6 0.486 0.514 0.772
Er7 0.514 0.486 0.272
Er8 0.605 0.043 0.763
Er9 0.755 0.879 0.526
Er10 0.801 0.199 0.302
Er11 0.879 0.755 0.026
Er12 0.957 0.395 0.763
Tm1 0.339 0.661 0.575
Tm2 0.661 0.339 0.075

Peak list (6 most intense, 2θ from 15° to 90°, by intensity)
| two_theta | intensity |
| --- | --- |
| 32.0 | 100 |
| 29.2 | 63 |
| 31.6 | 57 |
| 32.6 | 56 |
| 34.3 | 54 |
| 33.3 | 37 |


No. 7
Structure and computed powder diffraction line list of Na3Nd3ReO8 (a structure optimized by DFT (GGA-PBE); a wavelength of 1.5418 Å).
Peak positions follow from Bragg's law for the DFT cell and can differ from measured ones.

Atomic structure:
Unit cell a=6.889 b=6.889 c=6.889 alpha=60.83 beta=60.83 gamma=60.83
Fractional positions:
Na1 0.000 0.500 0.500
Na2 0.500 0.000 0.500
Na3 0.500 0.500 0.000
Nd1 0.000 0.000 0.500
Nd2 0.000 0.500 0.000
Nd3 0.500 0.000 0.000
Re1 0.500 0.500 0.500
O1 0.239 0.239 0.239
O2 0.272 0.714 0.714
O3 0.286 0.286 0.728
O4 0.286 0.728 0.286
O5 0.714 0.272 0.714
O6 0.714 0.714 0.272
O7 0.728 0.286 0.286
O8 0.761 0.761 0.761

Peak list (6 most intense, 2θ from 15° to 90°, by intensity)
| two_theta | intensity |
| --- | --- |
| 15.9 | 100 |
| 36.7 | 73 |
| 30.1 | 53 |
| 31.5 | 53 |
| 52.5 | 25 |
| 55.2 | 23 |